1.
The following is a computed PXRD pattern of Tl2Pd9. It was derived from the GGA-PBE geometry in OQMD, using CuKα.

Largest 6 diffraction maxima, by intensity, 10 to 90 degrees two-theta:
2.379 Å, 2θ = 37.81°, intensity 100
2.325 Å, 2θ = 38.73°, intensity 96
2.001 Å, 2θ = 45.32°, intensity 89
2.133 Å, 2θ = 42.37°, intensity 40
1.454 Å, 2θ = 64.03°, intensity 39
2.265 Å, 2θ = 39.80°, intensity 34

Cell and atoms:
Lattice parameters (Å, degrees): 2.909 2.909 36.236 90.00 90.00 120.00
Atoms (fractional coordinates):
Tl: 0.333 0.667 0.307
Tl: 0.667 0.333 0.693
Pd: 0.000 0.000 0.000
Pd: 0.000 0.000 0.179
Pd: 0.000 0.000 0.821
Pd: 0.333 0.667 0.119
Pd: 0.333 0.667 0.760
Pd: 0.333 0.667 0.941
Pd: 0.667 0.333 0.059
Pd: 0.667 0.333 0.240
Pd: 0.667 0.333 0.881


2.
The following is a computed PXRD pattern of Er3AuN6. It was derived from the GGA-PBE geometry in OQMD, using CuKα.

Largest 6 diffraction maxima, by intensity, 10 to 90 degrees two-theta:
2.825 Å, 2θ = 31.67°, intensity 100
2.977 Å, 2θ = 30.02°, intensity 85
2.997 Å, 2θ = 29.81°, intensity 83
2.898 Å, 2θ = 30.85°, intensity 80
2.519 Å, 2θ = 35.65°, intensity 75
2.743 Å, 2θ = 32.65°, intensity 69

Cell and atoms:
Lattice parameters (Å, degrees): 3.705 5.657 6.496 99.92 99.11 98.26
Atoms (fractional coordinates):
Er: 0.000 0.000 0.000
Er: 0.282 0.499 0.711
Er: 0.718 0.501 0.289
Au: 0.500 0.000 0.500
N: 0.199 0.272 0.354
N: 0.255 0.738 0.203
N: 0.456 0.749 0.053
N: 0.544 0.251 0.947
N: 0.745 0.262 0.797
N: 0.801 0.728 0.646